# La2Zn2Ni3
Simulated X-ray diffraction stick pattern, a wavelength of 1.5418 Å. Input: DFT lattice parameters and positions (GGA-PBE).
Peak positions follow from Bragg's law for the DFT cell and can differ from measured ones.

Lattice parameters (Å, degrees): 10.116 4.273 6.449 90.00 110.44 90.00
Space group C2/m (No. 12)
Symmetry-distinct sites (fractional):
La1 0.105 0.000 0.324 x4
Zn1 0.232 0.000 0.884 x4
Ni1 0.000 0.500 0.000 x2
Ni2 0.097 0.500 0.687 x4

Most intense lines, 15 to 90 degrees two-theta, low angle first:
| 2θ (°) | I_rel | (hkl) |
| --- | --- | --- |
| 28.99 | 46 | 1 1 1 |
| 34.23 | 56 | 3 1 -1 |
| 34.87 | 79 | 1 1 -2 |
| 35.33 | 14 | 3 1 0 |
| 35.53 | 29 | 4 0 -1 |
| 39.28 | 14 | 4 0 -2 |
| 42.29 | 100 | 0 2 0 |
| 45.00 | 13 | 0 0 3 |
| 56.40 | 15 | 4 2 -1 |
| 58.09 | 13 | 5 1 -3 |

# La3Zn2Ni3
Simulated X-ray diffraction stick pattern, a wavelength of 1.5418 Å. Input: DFT lattice parameters and positions (GGA-PBE).
Peak positions follow from Bragg's law for the DFT cell and can differ from measured ones.

Lattice parameters (Å, degrees): 7.689 14.305 6.298 90.00 90.00 90.00
Space group Pnma (No. 62)
Symmetry-distinct sites (fractional):
La1 0.059 0.107 0.154 x8
La2 0.088 0.750 0.372 x4
Zn1 0.201 0.089 0.633 x8
Ni1 0.112 0.551 0.426 x8
Ni2 0.238 0.750 0.921 x4

Most intense lines, 15 to 90 degrees two-theta, low angle first:
| 2θ (°) | I_rel | (hkl) |
| --- | --- | --- |
| 27.17 | 38 | 2 0 1 |
| 29.85 | 43 | 2 3 0 |
| 31.02 | 47 | 1 4 1 |
| 31.33 | 100 | 1 1 2 |
| 33.15 | 98 | 2 3 1 |
| 36.12 | 28 | 1 3 2 |
| 37.73 | 47 | 0 6 0 |
| 38.44 | 51 | 3 1 1 |
| 39.91 | 50 | 1 4 2 |
| 49.58 | 25 | 4 0 1 |

> Number 2 is which compound?

La3Zn2Ni3

> Which formula does entry 1 have?

La2Zn2Ni3